For Ti4In3W, a GGA-PBE-relaxed structure gives the computed X-ray powder pattern in this record (Cu Kα).
Peak positions follow from Bragg's law for the DFT cell and can differ from measured ones.

Peak list (8 most intense, 2θ from 10° to 90°, in order of falling intensity)
37.56 deg, d = 2.395 Å, rel. 1000
39.56 deg, d = 2.278 Å, rel. 484
70.45 deg, d = 1.337 Å, rel. 297
27.69 deg, d = 3.221 Å, rel. 278
24.86 deg, d = 3.581 Å, rel. 181
57.19 deg, d = 1.611 Å, rel. 158
47.30 deg, d = 1.922 Å, rel. 135
66.41 deg, d = 1.408 Å, rel. 124

Structural model:
Cell: 3.221 3.221 14.324 Å, 90.00 90.00 90.00°
Fractional coordinates of all 8 atoms:
Ti (0.000, 0.000, 0.100)
Ti (0.000, 0.000, 0.365)
Ti (0.000, 0.000, 0.635)
Ti (0.000, 0.000, 0.900)
In (0.500, 0.500, 0.233)
In (0.500, 0.500, 0.500)
In (0.500, 0.500, 0.767)
W (0.500, 0.500, 0.000)